1.
Structure and theoretical powder XRD pattern of Fe4Ir7Rh6 (a DFT-relaxed cell (PBE, Alexandria); Cu Kα (λ = 1.5418 Å)).
Kinematic intensities with the Lorentz-polarization factor, no thermal factor.

Crystal structure
```
data_Fe4Ir7Rh6
_chemical_formula_sum 'Fe8 Ir14 Rh12'
_cell_length_a 8.0252
_cell_length_b 8.0252
_cell_length_c 8.0252
_cell_angle_alpha 90.00
_cell_angle_beta 90.00
_cell_angle_gamma 90.00
_symmetry_space_group_name_H-M 'I m -3 m'
_symmetry_Int_Tables_number 229
_symmetry_space_group_name_Hall '-I 4 2 3'
loop_
_atom_site_label
_atom_site_type_symbol
_atom_site_fract_x
_atom_site_fract_y
_atom_site_fract_z
_atom_site_occupancy
Fe1 Fe 0.2500 0.2500 0.2500 1
Ir1 Ir 0.0000 0.0000 0.0000 1
Ir2 Ir 0.0000 0.2500 0.5000 1
Rh1 Rh 0.0000 0.0000 0.2964 1
```

Principal peaks in the range 10° ≤ 2θ ≤ 90°, sorted by position:
22.15 deg, d 4.013, intensity 35.6, hkl 2 0 0; 27.22 deg, d 3.276, intensity 18.3, hkl 2 1 1; 38.87 deg, d 2.317, intensity 100.0, hkl 2 2 2; 42.13 deg, d 2.145, intensity 39.9, hkl 3 2 1; 45.19 deg, d 2.006, intensity 71.3, hkl 4 0 0; 53.56 deg, d 1.711, intensity 20.9, hkl 3 3 2; 65.83 deg, d 1.419, intensity 40.5, hkl 4 4 0; 79.17 deg, d 1.210, intensity 28.4, hkl 6 2 2; 83.45 deg, d 1.158, intensity 12.4, hkl 4 4 4; 89.81 deg, d 1.092, intensity 14.1, hkl 6 3 3

=====

2.
Structure and theoretical powder XRD pattern of FeIrRuRh (a DFT-relaxed cell (PBE, Alexandria); Cu Kα (λ = 1.5418 Å)).
Kinematic intensities with the Lorentz-polarization factor, no thermal factor.

Crystal structure
```
data_FeIrRuRh
_chemical_formula_sum 'Fe2 Ir2 Ru2 Rh2'
_cell_length_a 4.0856
_cell_length_b 2.6819
_cell_length_c 10.0477
_cell_angle_alpha 90.00
_cell_angle_beta 90.00
_cell_angle_gamma 90.00
_symmetry_space_group_name_H-M 'A m m 2'
_symmetry_Int_Tables_number 38
_symmetry_space_group_name_Hall 'A 2 -2'
loop_
_atom_site_label
_atom_site_type_symbol
_atom_site_fract_x
_atom_site_fract_y
_atom_site_fract_z
_atom_site_occupancy
Fe1 Fe 0.0000 0.0000 0.0000 1
Ir1 Ir 0.5000 0.0000 0.6067 1
Ru1 Ru 0.0000 0.0000 0.2501 1
Rh1 Rh 0.5000 0.0000 0.8649 1
```

Principal peaks in the range 10° ≤ 2θ ≤ 90°, sorted by position:
21.75 deg, d 4.086, intensity 20.3, hkl 1 0 0; 28.15 deg, d 3.170, intensity 14.7, hkl 1 0 2; 41.26 deg, d 2.188, intensity 100.0, hkl 1 1 1; 42.23 deg, d 2.140, intensity 86.0, hkl 1 0 4; 43.22 deg, d 2.093, intensity 45.9, hkl 0 1 3; 44.34 deg, d 2.043, intensity 38.9, hkl 2 0 0; 57.29 deg, d 1.608, intensity 16.4, hkl 0 1 5; 63.64 deg, d 1.462, intensity 28.9, hkl 2 1 3; 79.24 deg, d 1.209, intensity 15.0, hkl 1 1 7; 85.45 deg, d 1.136, intensity 22.2, hkl 1 2 4

=====

3.
Structure and theoretical powder XRD pattern of Sc2FeIrRh (a DFT-relaxed cell (PBE, Alexandria); Cu Kα (λ = 1.5418 Å)).
Kinematic intensities with the Lorentz-polarization factor, no thermal factor.

Crystal structure
```
data_Sc2FeIrRh
_chemical_formula_sum 'Sc2 Fe1 Ir1 Rh1'
_cell_length_a 4.8550
_cell_length_b 4.8550
_cell_length_c 4.7453
_cell_angle_alpha 90.00
_cell_angle_beta 90.00
_cell_angle_gamma 90.00
_symmetry_space_group_name_H-M 'P 4/m m m'
_symmetry_Int_Tables_number 123
_symmetry_space_group_name_Hall '-P 4 2'
loop_
_atom_site_label
_atom_site_type_symbol
_atom_site_fract_x
_atom_site_fract_y
_atom_site_fract_z
_atom_site_occupancy
Sc1 Sc 0.0000 0.5000 0.0000 1
Fe1 Fe 0.0000 0.0000 0.5000 1
Ir1 Ir 0.5000 0.5000 0.5000 1
Rh1 Rh 0.5000 0.5000 0.0000 1
```

Principal peaks in the range 10° ≤ 2θ ≤ 90°, sorted by position:
18.27 deg, d 4.855, intensity 100.0, hkl 1 0 0; 25.95 deg, d 3.433, intensity 54.6, hkl 1 1 0; 32.18 deg, d 2.781, intensity 49.1, hkl 1 1 1; 37.03 deg, d 2.427, intensity 61.0, hkl 2 0 0; 37.92 deg, d 2.373, intensity 28.5, hkl 0 0 2; 41.59 deg, d 2.171, intensity 25.2, hkl 2 1 0; 42.40 deg, d 2.132, intensity 23.9, hkl 1 0 2; 46.53 deg, d 1.952, intensity 23.2, hkl 1 1 2; 53.38 deg, d 1.716, intensity 20.7, hkl 2 2 0; 54.05 deg, d 1.697, intensity 39.8, hkl 2 0 2

=====

Repeat the third record exactly.
Structure and theoretical powder XRD pattern of Sc2FeIrRh (a DFT-relaxed cell (PBE, Alexandria); Cu Kα (λ = 1.5418 Å)).
Kinematic intensities with the Lorentz-polarization factor, no thermal factor.

Crystal structure
```
data_Sc2FeIrRh
_chemical_formula_sum 'Sc2 Fe1 Ir1 Rh1'
_cell_length_a 4.8550
_cell_length_b 4.8550
_cell_length_c 4.7453
_cell_angle_alpha 90.00
_cell_angle_beta 90.00
_cell_angle_gamma 90.00
_symmetry_space_group_name_H-M 'P 4/m m m'
_symmetry_Int_Tables_number 123
_symmetry_space_group_name_Hall '-P 4 2'
loop_
_atom_site_label
_atom_site_type_symbol
_atom_site_fract_x
_atom_site_fract_y
_atom_site_fract_z
_atom_site_occupancy
Sc1 Sc 0.0000 0.5000 0.0000 1
Fe1 Fe 0.0000 0.0000 0.5000 1
Ir1 Ir 0.5000 0.5000 0.5000 1
Rh1 Rh 0.5000 0.5000 0.0000 1
```

Principal peaks in the range 10° ≤ 2θ ≤ 90°, sorted by position:
18.27 deg, d 4.855, intensity 100.0, hkl 1 0 0; 25.95 deg, d 3.433, intensity 54.6, hkl 1 1 0; 32.18 deg, d 2.781, intensity 49.1, hkl 1 1 1; 37.03 deg, d 2.427, intensity 61.0, hkl 2 0 0; 37.92 deg, d 2.373, intensity 28.5, hkl 0 0 2; 41.59 deg, d 2.171, intensity 25.2, hkl 2 1 0; 42.40 deg, d 2.132, intensity 23.9, hkl 1 0 2; 46.53 deg, d 1.952, intensity 23.2, hkl 1 1 2; 53.38 deg, d 1.716, intensity 20.7, hkl 2 2 0; 54.05 deg, d 1.697, intensity 39.8, hkl 2 0 2